This entry pairs a crystal structure of BaLu2CuO5 with its simulated PXRD pattern. Radiation: λ = 1.5418 Å (Cu Kα). Structure: a crystal structure in the Materials Project, relaxed with PBE.
Intensities are scaled so that the largest is 100.

Most intense lines, 2θ = 15–90°, by angle:
30.1°, intensity 100, hkl 3 1 1
30.7°, intensity 63, hkl 1 1 2
31.8°, intensity 47, hkl 0 2 0
32.3°, intensity 22, hkl 4 0 1
46.0°, intensity 29, hkl 4 2 1
47.0°, intensity 16, hkl 3 2 2
55.7°, intensity 18, hkl 3 3 1
59.6°, intensity 16, hkl 4 2 3

Structural model:
Unit cell a=12.0566 b=5.6202 c=7.0931 alpha=90.00 beta=90.00 gamma=90.00
Space group Pnma (No. 62)
Unique sites:
Ba 0.0963 0.2500 0.0706 [4 per cell]
Lu 0.0738 0.7500 0.3981 [4 per cell]
Lu 0.2131 0.2500 0.6149 [4 per cell]
Cu 0.1606 0.7500 0.7827 [4 per cell]
O 0.0681 0.5023 0.6584 [8 per cell]
O 0.1019 0.7500 0.0901 [4 per cell]
O 0.2280 0.0013 0.3604 [8 per cell]